For Gd2YGa2Hg3Au, a cell relaxed with GGA-PBE gives the theoretical powder diffractogram in this record (copper Kα).

Cell lengths 4.287, 7.451, 7.451 Å; angles 119.92, 90.00, 90.00 degrees
Element x y z (fractional)
Gd  0.000  0.204  0.796
Gd  0.000  0.796  0.204
Y  0.000  0.387  0.387
Ga  0.500  0.130  0.462
Ga  0.500  0.462  0.130
Hg  0.500  0.061  0.061
Hg  0.500  0.530  0.795
Hg  0.500  0.795  0.530
Au  0.000  0.795  0.795

Main lines, low angle first (2θ from 10° to 90°):
d/Å, I (rel.)
6.457, 27.2
2.813, 100.0
2.579, 77.3
2.440, 38.7
2.152, 32.4
2.144, 27.5
2.120, 33.2
1.610, 21.9
1.519, 21.5
1.400, 32.5